AgH12C4Se5N: theoretical powder XRD pattern (λ = 1.5418 Å (Cu Kα)), based on a cell relaxed with PBE.

Principal peaks in the range 2θ = 15–90°, by angle:
index	d [Å]	I (rel.)
2 2 -1	4.930	72.0
2 0 -2	3.850	100.0
1 5 0	3.586	30.8
1 3 1	3.562	48.2
2 4 0	3.404	66.8
1 3 -2	3.220	27.1
3 3 -2	3.048	28.8
1 5 1	2.868	25.4
1 7 -2	2.218	26.9
3 3 -4	1.849	29.9

a = 11.734 Å, b = 19.338 Å, c = 7.762 Å
α = 90.00°, β = 125.23°, γ = 90.00°
Space group Cc (No. 9)
One atom of each set of equivalent atoms:
Ag: 0.000 0.019 0.000 x4
H: 0.043 0.265 0.077 x4
H: 0.064 0.254 0.787 x4
H: 0.075 0.347 0.208 x4
H: 0.107 0.329 0.696 x4
H: 0.132 0.449 0.081 x4
H: 0.141 0.440 0.859 x4
H: 0.269 0.274 0.138 x4
H: 0.300 0.357 0.265 x4
H: 0.313 0.347 0.047 x4
H: 0.419 0.165 0.445 x4
H: 0.438 0.176 0.150 x4
H: 0.474 0.067 0.321 x4
C: 0.030 0.322 0.055 x4
C: 0.049 0.310 0.758 x4
C: 0.086 0.423 0.928 x4
C: 0.259 0.330 0.115 x4
Se: 0.169 0.116 0.028 x4
Se: 0.171 0.162 0.535 x4
Se: 0.209 0.075 0.779 x4
Se: 0.353 0.444 0.645 x4
Se: 0.425 0.330 0.784 x4
N: 0.106 0.346 0.964 x4